[1]
# NiPtO2
Calculated powder XRD pattern, copper Kα. Input: a structure optimized by DFT (GGA+U).
Peak positions follow from Bragg's law for the DFT cell and can differ from measured ones.

Principal peaks in the range 2θ from 5° to 70°, by intensity:
| 2theta | I/Imax |
| --- | --- |
| 36.85 | 100 |
| 40.77 | 56 |
| 14.57 | 52 |
| 29.38 | 48 |
| 35.81 | 36 |
| 54.13 | 36 |
| 62.79 | 24 |
| 63.66 | 23 |
| 50.25 | 10 |
| 43.51 | 9 |

Structure:
Unit cell a=6.3100 b=6.3100 c=6.3100 alpha=26.79 beta=26.79 gamma=26.79
Positions (direct):
Ni (0.0000, 0.0000, 0.0000)
Pt (0.5000, 0.5000, 0.5000)
O (0.3925, 0.3925, 0.3925)
O (0.6075, 0.6075, 0.6075)

[2]
# NiPt3O6
Calculated powder XRD pattern, copper Kα. Input: a structure optimized by DFT (GGA+U).
Peak positions follow from Bragg's law for the DFT cell and can differ from measured ones.

Principal peaks in the range 2θ from 5° to 70°, by intensity:
| 2theta | I/Imax |
| --- | --- |
| 30.55 | 100 |
| 33.16 | 85 |
| 52.89 | 55 |
| 37.50 | 44 |
| 61.84 | 28 |
| 35.91 | 24 |
| 66.43 | 22 |
| 15.14 | 17 |
| 50.60 | 15 |
| 61.25 | 15 |

Structure:
Unit cell a=6.1671 b=6.1671 c=3.2101 alpha=90.00 beta=90.00 gamma=108.39
Positions (direct):
Ni (0.0000, 0.0000, 0.0000)
Pt (0.0000, 0.5000, 0.5000)
Pt (0.5000, 0.0000, 0.5000)
Pt (0.5000, 0.5000, 0.0000)
O (0.1459, 0.8541, 0.5000)
O (0.1621, 0.4158, 0.0000)
O (0.4158, 0.1621, 0.0000)
O (0.5842, 0.8379, 0.0000)
O (0.8379, 0.5842, 0.0000)
O (0.8541, 0.1459, 0.5000)

[3]
# NiPt12O16
Calculated powder XRD pattern, copper Kα. Input: a structure optimized by DFT (GGA+U).
Peak positions follow from Bragg's law for the DFT cell and can differ from measured ones.

Principal peaks in the range 2θ from 5° to 70°, by intensity:
| 2theta | I/Imax |
| --- | --- |
| 35.04 | 100 |
| 35.25 | 98 |
| 35.36 | 96 |
| 55.89 | 67 |
| 22.02 | 65 |
| 38.77 | 45 |
| 22.14 | 34 |
| 58.16 | 24 |
| 38.57 | 22 |
| 58.53 | 20 |

Structure:
Unit cell a=5.6920 b=5.7378 c=11.3323 alpha=90.00 beta=90.00 gamma=90.00
Positions (direct):
Ni (0.0000, 0.0000, 0.0000)
Pt (0.0000, 0.5000, 0.1262)
Pt (0.0000, 0.5000, 0.3744)
Pt (0.0000, 0.5000, 0.6256)
Pt (0.0000, 0.5000, 0.8738)
Pt (0.2492, 0.0000, 0.2533)
Pt (0.2492, 0.0000, 0.7467)
Pt (0.5000, 0.2513, 0.0000)
Pt (0.5000, 0.2526, 0.5000)
Pt (0.5000, 0.7474, 0.5000)
Pt (0.5000, 0.7487, 0.0000)
Pt (0.7508, 0.0000, 0.2533)
Pt (0.7508, 0.0000, 0.7467)
O (0.2286, 0.2300, 0.1162)
O (0.2286, 0.2300, 0.8838)
O (0.2286, 0.7700, 0.1162)
O (0.2286, 0.7700, 0.8838)
O (0.2509, 0.2522, 0.3756)
O (0.2509, 0.2522, 0.6244)
O (0.2509, 0.7478, 0.3756)
O (0.2509, 0.7478, 0.6244)
O (0.7491, 0.2522, 0.3756)
O (0.7491, 0.2522, 0.6244)
O (0.7491, 0.7478, 0.3756)
O (0.7491, 0.7478, 0.6244)
O (0.7714, 0.2300, 0.1162)
O (0.7714, 0.2300, 0.8838)
O (0.7714, 0.7700, 0.1162)
O (0.7714, 0.7700, 0.8838)

[4]
# NiPtO2
Calculated powder XRD pattern, copper Kα. Input: a structure optimized by DFT (GGA+U).
Peak positions follow from Bragg's law for the DFT cell and can differ from measured ones.

Principal peaks in the range 2θ from 5° to 70°, by intensity:
| 2theta | I/Imax |
| --- | --- |
| 36.68 | 100 |
| 14.54 | 77 |
| 29.33 | 71 |
| 40.58 | 56 |
| 36.98 | 49 |
| 35.63 | 36 |
| 53.98 | 35 |
| 40.93 | 28 |
| 62.56 | 23 |
| 54.14 | 18 |

Structure:
Unit cell a=2.9460 b=5.0408 c=6.3157 alpha=74.68 beta=89.93 gamma=89.84
Positions (direct):
Ni (0.2403, 0.2500, 0.0001)
Ni (0.7597, 0.7500, 0.9999)
Pt (0.2473, 0.7504, 0.5000)
Pt (0.7527, 0.2496, 0.5000)
O (0.2572, 0.6417, 0.8210)
O (0.2570, 0.8583, 0.1791)
O (0.7430, 0.1417, 0.8209)
O (0.7428, 0.3583, 0.1790)

[5]
# NiPt3O6
Calculated powder XRD pattern, copper Kα. Input: a structure optimized by DFT (GGA+U).
Peak positions follow from Bragg's law for the DFT cell and can differ from measured ones.

Principal peaks in the range 2θ from 5° to 70°, by intensity:
| 2theta | I/Imax |
| --- | --- |
| 30.62 | 100 |
| 33.23 | 85 |
| 53.01 | 55 |
| 37.59 | 44 |
| 62.00 | 28 |
| 35.98 | 24 |
| 66.59 | 22 |
| 15.17 | 17 |
| 50.73 | 15 |
| 61.38 | 15 |

Structure:
Unit cell a=7.1978 b=9.9841 c=3.2036 alpha=90.00 beta=90.00 gamma=90.00
Positions (direct):
Ni (0.0000, 0.0000, 0.0000)
Ni (0.5000, 0.5000, 0.0000)
Pt (0.0000, 0.5000, 0.0000)
Pt (0.2442, 0.2463, 0.5000)
Pt (0.2558, 0.7463, 0.5000)
Pt (0.5000, 0.0000, 0.0000)
Pt (0.7442, 0.2537, 0.5000)
Pt (0.7558, 0.7537, 0.5000)
O (0.0067, 0.8541, 0.5000)
O (0.2045, 0.3681, 0.0000)
O (0.2176, 0.6218, 0.0000)
O (0.2824, 0.1218, 0.0000)
O (0.2955, 0.8681, 0.0000)
O (0.4933, 0.3541, 0.5000)
O (0.5067, 0.6459, 0.5000)
O (0.7045, 0.1319, 0.0000)
O (0.7176, 0.8782, 0.0000)
O (0.7824, 0.3782, 0.0000)
O (0.7955, 0.6319, 0.0000)
O (0.9933, 0.1459, 0.5000)

[6]
# Rb3NiO2
Calculated powder XRD pattern, copper Kα. Input: a structure optimized by DFT (GGA+U).
Peak positions follow from Bragg's law for the DFT cell and can differ from measured ones.

Principal peaks in the range 2θ from 5° to 70°, by intensity:
| 2theta | I/Imax |
| --- | --- |
| 31.22 | 100 |
| 28.15 | 50 |
| 40.24 | 24 |
| 51.81 | 21 |
| 51.75 | 13 |
| 48.91 | 10 |
| 67.55 | 7 |
| 57.35 | 7 |
| 57.41 | 7 |
| 65.17 | 6 |

Structure:
Unit cell a=6.3392 b=6.3392 c=14.9013 alpha=89.90 beta=89.96 gamma=89.98
Positions (direct):
Rb (0.0000, 0.0000, 0.0000)
Rb (0.0024, 0.0391, 0.2508)
Rb (0.0248, 0.5640, 0.3760)
Rb (0.4385, 0.0640, 0.6261)
Rb (0.4613, 0.5390, 0.7522)
Rb (0.4628, 0.5006, 0.0016)
Rb (0.5000, 0.5412, 0.5028)
Rb (0.5020, 0.5025, 0.2524)
Rb (0.5247, 0.9775, 0.1268)
Rb (0.9384, 0.4776, 0.8768)
Rb (0.9611, 0.0025, 0.7506)
Rb (0.9627, 0.0412, 0.5011)
Ni (0.4780, 0.0172, 0.8767)
Ni (0.4855, 0.0246, 0.3762)
Ni (0.9783, 0.5247, 0.6263)
Ni (0.9854, 0.5172, 0.1267)
O (0.1765, 0.7263, 0.6164)
O (0.1867, 0.7154, 0.1366)
O (0.2762, 0.2155, 0.8671)
O (0.2868, 0.2259, 0.3858)
O (0.6764, 0.8153, 0.8863)
O (0.6869, 0.8260, 0.3665)
O (0.7765, 0.3264, 0.6355)
O (0.7869, 0.3159, 0.1173)

[7]
# Rb2NiO2
Calculated powder XRD pattern, copper Kα. Input: a structure optimized by DFT (GGA+U).
Peak positions follow from Bragg's law for the DFT cell and can differ from measured ones.

Principal peaks in the range 2θ from 5° to 70°, by intensity:
| 2theta | I/Imax |
| --- | --- |
| 29.23 | 100 |
| 30.09 | 79 |
| 52.90 | 38 |
| 43.07 | 28 |
| 51.28 | 24 |
| 60.61 | 14 |
| 40.51 | 12 |
| 66.85 | 10 |
| 62.55 | 9 |
| 40.65 | 7 |

Structure:
Unit cell a=7.3102 b=7.3102 c=7.3102 alpha=146.61 beta=146.61 gamma=47.95
Positions (direct):
Rb (0.1563, 0.1563, 0.0000)
Rb (0.8437, 0.8437, 0.0000)
Ni (0.5000, 0.5000, 0.0000)
O (0.3713, 0.3713, 0.0000)
O (0.6287, 0.6287, 0.0000)

[8]
# Rb3NiO2
Calculated powder XRD pattern, copper Kα. Input: a structure optimized by DFT (GGA+U).
Peak positions follow from Bragg's law for the DFT cell and can differ from measured ones.

Principal peaks in the range 2θ from 5° to 70°, by intensity:
| 2theta | I/Imax |
| --- | --- |
| 30.92 | 100 |
| 28.16 | 52 |
| 51.60 | 43 |
| 40.25 | 27 |
| 56.65 | 14 |
| 64.44 | 12 |
| 67.40 | 11 |
| 65.91 | 10 |
| 48.07 | 8 |
| 58.23 | 8 |

Structure:
Unit cell a=6.3375 b=6.3375 c=7.5706 alpha=90.00 beta=90.00 gamma=90.00
Positions (direct):
Rb (0.0000, 0.0000, 0.0000)
Rb (0.0000, 0.5000, 0.2500)
Rb (0.0000, 0.5000, 0.7500)
Rb (0.5000, 0.0000, 0.2500)
Rb (0.5000, 0.0000, 0.7500)
Rb (0.5000, 0.5000, 0.5000)
Ni (0.0000, 0.0000, 0.5000)
Ni (0.5000, 0.5000, 0.0000)
O (0.2000, 0.2000, 0.5000)
O (0.3000, 0.7000, 0.0000)
O (0.7000, 0.3000, 0.0000)
O (0.8000, 0.8000, 0.5000)

[9]
# RbNiO3
Calculated powder XRD pattern, copper Kα. Input: a structure optimized by DFT (GGA+U).
Peak positions follow from Bragg's law for the DFT cell and can differ from measured ones.

Principal peaks in the range 2θ from 5° to 70°, by intensity:
| 2theta | I/Imax |
| --- | --- |
| 31.22 | 100 |
| 44.73 | 39 |
| 55.56 | 38 |
| 65.11 | 23 |
| 38.48 | 10 |

Structure:
Unit cell a=4.0519 b=4.0519 c=4.0519 alpha=90.00 beta=90.00 gamma=90.00
Positions (direct):
Rb (0.0000, 0.0000, 0.0000)
Ni (0.5000, 0.5000, 0.5000)
O (0.0000, 0.5000, 0.5000)
O (0.5000, 0.0000, 0.5000)
O (0.5000, 0.5000, 0.0000)

[10]
# Rb2NiS2O14
Calculated powder XRD pattern, copper Kα. Input: a structure optimized by DFT (GGA+U).
Peak positions follow from Bragg's law for the DFT cell and can differ from measured ones.

Principal peaks in the range 2θ from 5° to 70°, by intensity:
| 2theta | I/Imax |
| --- | --- |
| 20.83 | 100 |
| 23.20 | 100 |
| 22.67 | 83 |
| 29.53 | 37 |
| 38.17 | 29 |
| 26.15 | 25 |
| 19.99 | 24 |
| 31.38 | 24 |
| 31.96 | 21 |
| 48.32 | 20 |

Structure:
Unit cell a=6.2871 b=12.8898 c=8.7157 alpha=90.00 beta=102.80 gamma=90.00
Positions (direct):
Rb (0.1603, 0.1558, 0.3620)
Rb (0.1603, 0.3442, 0.8620)
Rb (0.8397, 0.6558, 0.1380)
Rb (0.8397, 0.8442, 0.6380)
Ni (0.5000, 0.0000, 0.0000)
Ni (0.5000, 0.5000, 0.5000)
S (0.2487, 0.6399, 0.8986)
S (0.2487, 0.8601, 0.3986)
S (0.7513, 0.1399, 0.6014)
S (0.7513, 0.3601, 0.1014)
O (0.0895, 0.7255, 0.8979)
O (0.0895, 0.7745, 0.3979)
O (0.1391, 0.5691, 0.7652)
O (0.1391, 0.9309, 0.2652)
O (0.2295, 0.5450, 0.5109)
O (0.2295, 0.9550, 0.0109)
O (0.2764, 0.5760, 0.0432)
O (0.2764, 0.9240, 0.5432)
O (0.3353, 0.0996, 0.8781)
O (0.3353, 0.4004, 0.3781)
O (0.4094, 0.1000, 0.1190)
O (0.4094, 0.4000, 0.6190)
O (0.4571, 0.6801, 0.8755)
O (0.4571, 0.8199, 0.3755)
O (0.5429, 0.1801, 0.6245)
O (0.5429, 0.3199, 0.1245)
O (0.5906, 0.6000, 0.3810)
O (0.5906, 0.9000, 0.8810)
O (0.6647, 0.5996, 0.6219)
O (0.6647, 0.9004, 0.1219)
O (0.7236, 0.0760, 0.4568)
O (0.7236, 0.4240, 0.9568)
O (0.7705, 0.0450, 0.9891)
O (0.7705, 0.4550, 0.4891)
O (0.8609, 0.0691, 0.7348)
O (0.8609, 0.4309, 0.2348)
O (0.9105, 0.2255, 0.6021)
O (0.9105, 0.2745, 0.1021)